Simulated powder X-ray diffraction pattern of Ti6CuRh5 for Cu Kα, 1.54184 Å, from a GGA-PBE-relaxed structure.
Neutral-atom scattering factors, no anomalous dispersion.

Top 10 peaks for 15 to 90 degrees two-theta, most intense first:
2θ/deg, d_spacing, I (rel.), h k l
40.3, 2.239, 1000, 1 2 3
43.3, 2.089, 401, 2 0 0
77.4, 1.233, 261, 3 2 3
71.1, 1.326, 170, 2 4 0
30.3, 2.954, 137, 1 0 3
62.9, 1.477, 124, 2 0 6
53.4, 1.716, 107, 0 4 0
26.0, 3.432, 102, 0 2 0
87.1, 1.119, 98, 2 4 6
51.2, 1.784, 66, 2 2 0

Cell and atoms:
a b c (Å): 4.177 6.864 12.532
angles (deg): 90.00 90.00 90.00
Space group Immm (No. 71)
One atom of each set of equivalent atoms:
Ti 0.000 0.248 0.000 (multiplicity 4)
Ti 0.000 0.251 0.333 (multiplicity 8)
Cu 0.000 0.000 0.500 (multiplicity 2)
Rh 0.000 0.000 0.170 (multiplicity 4)
Rh 0.000 0.500 0.160 (multiplicity 4)
Rh 0.000 0.500 0.500 (multiplicity 2)

---

Simulated powder X-ray diffraction pattern of Ti2CuRh4 for Cu Kα, 1.54184 Å, from a GGA-PBE-relaxed structure.
Neutral-atom scattering factors, no anomalous dispersion.

Top 10 peaks for 15 to 90 degrees two-theta, most intense first:
2θ/deg, d_spacing, I (rel.), h k l
40.1, 2.248, 1000, 2 2 1
20.6, 4.306, 548, 0 0 2
50.5, 1.809, 427, 2 2 3
43.7, 2.071, 419, 4 0 2
42.0, 2.153, 396, 0 0 4
38.1, 2.362, 349, 4 0 0
46.0, 1.972, 271, 3 1 3
39.6, 2.273, 228, 0 2 2
70.2, 1.341, 185, 6 2 1
34.7, 2.589, 174, 3 1 1

Cell and atoms:
a b c (Å): 9.447 5.353 8.613
angles (deg): 90.00 90.00 90.00
Space group Cmce (No. 64)
One atom of each set of equivalent atoms:
Ti 0.156 0.000 0.000 (multiplicity 8)
Cu 0.000 0.000 0.500 (multiplicity 4)
Rh 0.000 0.119 0.218 (multiplicity 8)
Rh 0.250 0.168 0.750 (multiplicity 8)

---

Simulated powder X-ray diffraction pattern of Ti2Cu3Rh for Cu Kα, 1.54184 Å, from a GGA-PBE-relaxed structure.
Neutral-atom scattering factors, no anomalous dispersion.

Top 10 peaks for 15 to 90 degrees two-theta, most intense first:
2θ/deg, d_spacing, I (rel.), h k l
41.0, 2.199, 1000, 2 2 -1
47.7, 1.906, 316, 0 4 0
69.8, 1.347, 176, 4 0 -2
47.8, 1.901, 152, 2 0 -4
84.3, 1.149, 108, 2 6 -1
84.2, 1.150, 97, 4 2 1
84.5, 1.147, 96, 4 2 -5
69.9, 1.346, 90, 2 4 -4
89.0, 1.100, 88, 4 4 -2
26.2, 3.407, 66, 1 1 1

Cell and atoms:
a b c (Å): 5.388 7.619 8.506
angles (deg): 90.00 108.28 90.00
Space group C2/c (No. 15)
One atom of each set of equivalent atoms:
Ti 0.177 0.125 0.104 (multiplicity 8)
Cu 0.000 0.375 0.250 (multiplicity 4)
Cu 0.160 0.375 0.569 (multiplicity 8)
Rh 0.000 0.125 0.750 (multiplicity 4)

---

Simulated powder X-ray diffraction pattern of Tl2CuRh for Cu Kα, 1.54184 Å, from a GGA-PBE-relaxed structure.
Neutral-atom scattering factors, no anomalous dispersion.

Top 10 peaks for 15 to 90 degrees two-theta, most intense first:
2θ/deg, d_spacing, I (rel.), h k l
38.1, 2.364, 1000, 1 1 2
31.0, 2.889, 302, 0 0 4
30.6, 2.921, 273, 0 1 3
40.3, 2.240, 245, 0 2 0
71.7, 1.316, 157, 1 3 2
21.3, 4.177, 148, 0 1 1
51.6, 1.770, 147, 0 2 4
29.2, 3.061, 144, 1 0 1
59.8, 1.546, 132, 1 1 6
47.1, 1.928, 101, 0 0 6

Cell and atoms:
a b c (Å): 3.175 4.480 11.557
angles (deg): 90.00 90.00 90.00
Space group Imm2 (No. 44)
One atom of each set of equivalent atoms:
Tl 0.000 0.000 0.000 (multiplicity 2)
Tl 0.000 0.500 0.224 (multiplicity 2)
Cu 0.000 0.500 0.823 (multiplicity 2)
Rh 0.000 0.000 0.505 (multiplicity 2)

---

Simulated powder X-ray diffraction pattern of VCuRh3 for Cu Kα, 1.54184 Å, from a GGA-PBE-relaxed structure.
Neutral-atom scattering factors, no anomalous dispersion.

Top 10 peaks for 15 to 90 degrees two-theta, most intense first:
2θ/deg, d_spacing, I (rel.), h k l
41.2, 2.194, 1000, 1 1 3
46.6, 1.949, 691, 1 -1 2
41.3, 2.184, 501, 0 2 1
41.5, 2.174, 495, 2 0 0
50.8, 1.796, 269, 2 2 1
71.6, 1.318, 186, 3 1 3
71.3, 1.323, 184, 1 3 4
89.1, 1.099, 156, 2 4 2
25.6, 3.476, 122, 1 1 1
83.0, 1.164, 121, 1 -3 1

Cell and atoms:
a b c (Å): 4.508 4.528 7.286
angles (deg): 71.92 85.30 74.71
Space group P-1 (No. 2)
One atom of each set of equivalent atoms:
V 0.250 0.150 0.200 (multiplicity 2)
Cu 0.250 0.350 0.800 (multiplicity 2)
Rh 0.250 0.551 0.397 (multiplicity 2)
Rh 0.250 0.747 0.006 (multiplicity 2)
Rh 0.250 0.943 0.615 (multiplicity 2)

---

Simulated powder X-ray diffraction pattern of V2CuRh3 for Cu Kα, 1.54184 Å, from a GGA-PBE-relaxed structure.
Neutral-atom scattering factors, no anomalous dispersion.

Top 10 peaks for 15 to 90 degrees two-theta, most intense first:
2θ/deg, d_spacing, I (rel.), h k l
41.5, 2.175, 1000, 1 1 1
41.2, 2.189, 987, 0 0 3
45.8, 1.980, 757, 1 1 -2
72.3, 1.307, 299, 3 1 0
82.0, 1.175, 247, 2 2 -1
81.4, 1.182, 227, 3 1 -3
52.6, 1.740, 210, 2 0 2
25.6, 3.480, 151, 1 0 1
67.2, 1.393, 120, 0 2 0
66.4, 1.407, 112, 2 0 -4

Cell and atoms:
a b c (Å): 4.480 2.786 6.615
angles (deg): 90.00 97.27 90.00
Space group P2/m (No. 10)
One atom of each set of equivalent atoms:
V 0.198 0.000 0.318 (multiplicity 2)
Cu 0.500 0.000 0.000 (multiplicity 1)
Rh 0.000 0.500 0.000 (multiplicity 1)
Rh 0.301 0.500 0.647 (multiplicity 2)

---

Simulated powder X-ray diffraction pattern of V2CuRh8 for Cu Kα, 1.54184 Å, from a GGA-PBE-relaxed structure.
Neutral-atom scattering factors, no anomalous dispersion.

Top 10 peaks for 15 to 90 degrees two-theta, most intense first:
2θ/deg, d_spacing, I (rel.), h k l
42.0, 2.151, 1000, 1 2 3
45.2, 2.006, 273, 2 0 0
40.9, 2.208, 262, 1 1 4
40.4, 2.233, 190, 0 3 1
47.5, 1.913, 166, 0 0 6
81.3, 1.184, 149, 3 2 3
67.7, 1.384, 112, 2 0 6
32.3, 2.768, 105, 1 0 3
81.7, 1.179, 104, 1 5 4
62.2, 1.492, 103, 2 3 1

Cell and atoms:
a b c (Å): 4.011 6.831 11.476
angles (deg): 90.00 90.00 90.00
Space group Immm (No. 71)
One atom of each set of equivalent atoms:
V 0.000 0.000 0.203 (multiplicity 4)
Cu 0.000 0.000 0.500 (multiplicity 2)
Rh 0.000 0.190 0.000 (multiplicity 4)
Rh 0.000 0.286 0.345 (multiplicity 8)
Rh 0.000 0.500 0.149 (multiplicity 4)

---

Simulated powder X-ray diffraction pattern of CuRhW2 for Cu Kα, 1.54184 Å, from a GGA-PBE-relaxed structure.
Neutral-atom scattering factors, no anomalous dispersion.

Top 10 peaks for 15 to 90 degrees two-theta, most intense first:
2θ/deg, d_spacing, I (rel.), h k l
42.2, 2.141, 1000, 1 1 -1
41.2, 2.194, 314, 0 2 0
39.2, 2.300, 208, 1 0 1
44.5, 2.037, 200, 1 1 1
27.3, 3.271, 179, 0 1 1
75.7, 1.256, 177, 1 3 -1
58.1, 1.587, 132, 1 2 1
83.9, 1.153, 107, 1 2 3
36.6, 2.453, 101, 0 0 2
69.3, 1.356, 90, 1 0 3

Cell and atoms:
a b c (Å): 2.718 4.387 4.921
angles (deg): 90.00 94.33 90.00
Space group Pm (No. 6)
One atom of each set of equivalent atoms:
Cu 0.000 0.000 0.000 (multiplicity 1)
Rh 0.003 0.500 0.297 (multiplicity 1)
W 0.436 0.500 0.815 (multiplicity 1)
W 0.571 0.000 0.496 (multiplicity 1)